Structure and calculated X-ray powder pattern of PmAg2F8 (a structure optimized by DFT (GGA-PBE); Cu Kα, 1.54184 Å).
Peak positions follow from Bragg's law for the DFT cell and can differ from measured ones.

Crystal structure
```
data_PmAg2F8
_cell_length_a 6.574
_cell_length_b 6.574
_cell_length_c 9.427
_cell_angle_alpha 99.88
_cell_angle_beta 99.88
_cell_angle_gamma 72.79
_symmetry_space_group_name_H-M 'P 1'
_symmetry_Int_Tables_number 1
_symmetry_space_group_name_Hall 'P 1'
loop_
_atom_site_label
_atom_site_type_symbol
_atom_site_fract_x
_atom_site_fract_y
_atom_site_fract_z
_atom_site_occupancy
Pm1 Pm 0.242 0.758 0.750 1
Pm2 Pm 0.758 0.242 0.250 1
Ag1 Ag 0.249 0.261 0.959 1
Ag2 Ag 0.261 0.249 0.459 1
Ag3 Ag 0.739 0.751 0.541 1
Ag4 Ag 0.751 0.739 0.041 1
F1 F 0.053 0.696 0.512 1
F2 F 0.132 0.139 0.760 1
F3 F 0.139 0.132 0.260 1
F4 F 0.158 0.572 0.913 1
F5 F 0.304 0.947 0.988 1
F6 F 0.366 0.396 0.655 1
F7 F 0.396 0.366 0.155 1
F8 F 0.428 0.842 0.587 1
F9 F 0.572 0.158 0.413 1
F10 F 0.604 0.634 0.845 1
F11 F 0.634 0.604 0.345 1
F12 F 0.696 0.053 0.012 1
F13 F 0.842 0.428 0.087 1
F14 F 0.861 0.868 0.740 1
F15 F 0.868 0.861 0.240 1
F16 F 0.947 0.304 0.488 1
```

Peak list (12 most intense, 2θ = 10–90°, most intense first)
| d_spacing | Position (°2θ) | I/Imax |
| --- | --- | --- |
| 3.117 | 28.6 | 1000 |
| 3.873 | 23.0 | 546 |
| 5.497 | 16.1 | 519 |
| 4.876 | 18.2 | 456 |
| 2.100 | 43.1 | 293 |
| 1.831 | 49.8 | 285 |
| 2.976 | 30.0 | 277 |
| 1.741 | 52.6 | 156 |
| 1.747 | 52.4 | 147 |
| 3.953 | 22.5 | 136 |
| 1.950 | 46.6 | 135 |
| 2.075 | 43.6 | 128 |